For LiV5B2O10, DFT lattice parameters and positions (GGA+U) gives the computed powder XRD pattern in this record (Cu Kα, 1.54184 Å).

```
data_LiV5B2O10
_chemical_formula_sum 'Li2 V10 B4 O20'
_cell_length_a 9.6093
_cell_length_b 12.6037
_cell_length_c 3.0118
_cell_angle_alpha 90.00
_cell_angle_beta 90.00
_cell_angle_gamma 90.00
_space_group_name_H-M_alt 'P b a m'
_space_group_IT_number 55
loop_
_space_group_symop_operation_xyz
'x,y,z'
'-x,-y,-z'
'-x,-y,z'
'x,y,-z'
'x+1/2,-y+1/2,-z'
'-x+1/2,y+1/2,z'
'-x+1/2,y+1/2,-z'
'x+1/2,-y+1/2,z'
loop_
_atom_site_label
_atom_site_fract_x
_atom_site_fract_y
_atom_site_fract_z
Li1 0.0000 0.0000 0.0000
V1 0.0000 0.5000 0.5000
V2 0.0103 0.2157 0.5000
V3 0.2478 0.8895 0.0000
B1 0.2197 0.6425 0.0000
O1 0.1144 0.9198 0.5000
O2 0.1156 0.3599 0.5000
O3 0.1375 0.1461 0.0000
O4 0.1414 0.7360 0.0000
O5 0.1504 0.5446 0.0000
```

Peak list (10 most intense, 2θ = 10–90°, low angle first)
| 2theta | intensity | (hkl) |
| --- | --- | --- |
| 16.8 | 40 | 1 2 0 |
| 23.1 | 39 | 1 3 0 |
| 34.0 | 55 | 2 4 0 |
| 35.2 | 100 | 2 0 1 |
| 41.5 | 19 | 0 4 1 |
| 43.7 | 25 | 3 2 1 |
| 46.7 | 24 | 3 3 1 |
| 57.1 | 32 | 4 4 1 |
| 58.8 | 18 | 5 2 1 |
| 60.7 | 20 | 1 7 1 |